For Tl3CuI4, a cell relaxed with PBE gives the simulated powder diffraction line list in this record (Cu Kα).
Kinematic intensities with the Lorentz-polarization factor, no thermal factor.

Largest 6 diffraction maxima, in order of falling intensity, 2θ = 15–90°:
- (2 2 1), d = 3.098 Å, 2θ = 28.82°, intensity 100.0
- (3 0 1), d = 3.135 Å, 2θ = 28.47°, intensity 83.3
- (1 2 1), d = 3.423 Å, 2θ = 26.03°, intensity 63.0
- (0 3 1), d = 2.869 Å, 2θ = 31.17°, intensity 62.6
- (0 0 2), d = 2.355 Å, 2θ = 38.21°, intensity 58.6
- (3 3 0), d = 2.742 Å, 2θ = 32.66°, intensity 50.4

Structural model:
```
data_Tl3CuI4
_chemical_formula_sum 'Tl6 Cu2 I8'
_cell_length_a 12.6017
_cell_length_b 10.8575
_cell_length_c 4.7087
_cell_angle_alpha 90.00
_cell_angle_beta 90.00
_cell_angle_gamma 90.00
_symmetry_space_group_name_H-M 'P m n 21'
_symmetry_Int_Tables_number 31
loop_
_symmetry_equiv_pos_as_xyz
'x,y,z'
'-x+1/2,-y,z+1/2'
'-x,y,z'
'x+1/2,-y,z+1/2'
loop_
_atom_site_label
_atom_site_type_symbol
_atom_site_fract_x
_atom_site_fract_y
_atom_site_fract_z
Tl1 Tl 0.0000 0.0720 0.0000
Tl2 Tl 0.1824 0.6233 0.4999
Cu1 Cu 0.0000 0.3317 0.4985
I1 I 0.0000 0.4667 0.9996
I2 I 0.0000 0.8358 0.5000
I3 I 0.1796 0.2122 0.4999
```


For Dy2Er12Th, a cell relaxed with PBE gives the simulated powder diffraction line list in this record (Cu Kα).
Kinematic intensities with the Lorentz-polarization factor, no thermal factor.

Largest 6 diffraction maxima, in order of falling intensity, 2θ = 15–90°:
- (0 2 -1), d = 2.762 Å, 2θ = 32.42°, intensity 100.0
- (1 1 -4), d = 2.787 Å, 2θ = 32.12°, intensity 56.1
- (2 2 -2), d = 1.487 Å, 2θ = 62.46°, intensity 30.8
- (1 0 4), d = 2.938 Å, 2θ = 30.42°, intensity 20.9
- (-1 1 5), d = 2.525 Å, 2θ = 35.55°, intensity 15.2
- (1 2 3), d = 2.014 Å, 2θ = 45.01°, intensity 14.4

Structural model:
```
data_Dy2Er12Th
_chemical_formula_sum 'Dy2 Er12 Th1'
_cell_length_a 3.5288
_cell_length_b 5.5326
_cell_length_c 24.0975
_cell_angle_alpha 96.53
_cell_angle_beta 94.17
_cell_angle_gamma 90.02
_symmetry_space_group_name_H-M 'P -1'
_symmetry_Int_Tables_number 2
loop_
_symmetry_equiv_pos_as_xyz
'x,y,z'
'-x,-y,-z'
loop_
_atom_site_label
_atom_site_type_symbol
_atom_site_fract_x
_atom_site_fract_y
_atom_site_fract_z
Dy1 Dy 0.1375 0.1359 0.2771
Er1 Er 0.0938 0.5938 0.1910
Er2 Er 0.2271 0.7260 0.4572
Er3 Er 0.2999 0.8013 0.5974
Er4 Er 0.3400 0.3408 0.6762
Er5 Er 0.4294 0.9297 0.8570
Er6 Er 0.4684 0.4676 0.9339
Th1 Th 0.0000 0.0000 0.0000
```